Simulated PXRD pattern
Compound: Li12Mg17
Radiation: Cu Kα
Structure: DFT lattice parameters and positions (PBE)
No peak broadening, texture or thermal motion is included.

Atomic structure:
```
data_Li12Mg17
_chemical_formula_sum 'Li12 Mg17'
_cell_length_a 9.228
_cell_length_b 9.228
_cell_length_c 9.228
_cell_angle_alpha 109.47
_cell_angle_beta 109.47
_cell_angle_gamma 109.47
_symmetry_space_group_name_H-M 'P 1'
_symmetry_Int_Tables_number 1
_symmetry_space_group_name_Hall 'P 1'
loop_
_atom_site_label
_atom_site_type_symbol
_atom_site_fract_x
_atom_site_fract_y
_atom_site_fract_z
_atom_site_occupancy
Li1 Li 0.000 0.187 0.365 1
Li2 Li 0.000 0.365 0.187 1
Li3 Li 0.178 0.813 0.813 1
Li4 Li 0.187 0.000 0.365 1
Li5 Li 0.187 0.365 0.000 1
Li6 Li 0.365 0.000 0.187 1
Li7 Li 0.365 0.187 0.000 1
Li8 Li 0.635 0.635 0.822 1
Li9 Li 0.635 0.822 0.635 1
Li10 Li 0.813 0.178 0.813 1
Li11 Li 0.813 0.813 0.178 1
Li12 Li 0.822 0.635 0.635 1
Mg1 Mg 0.000 0.000 0.000 1
Mg2 Mg 0.000 0.000 0.640 1
Mg3 Mg 0.000 0.395 0.680 1
Mg4 Mg 0.000 0.640 0.000 1
Mg5 Mg 0.000 0.680 0.395 1
Mg6 Mg 0.285 0.605 0.605 1
Mg7 Mg 0.320 0.320 0.715 1
Mg8 Mg 0.320 0.715 0.320 1
Mg9 Mg 0.360 0.360 0.360 1
Mg10 Mg 0.395 0.000 0.680 1
Mg11 Mg 0.395 0.680 0.000 1
Mg12 Mg 0.605 0.285 0.605 1
Mg13 Mg 0.605 0.605 0.285 1
Mg14 Mg 0.640 0.000 0.000 1
Mg15 Mg 0.680 0.000 0.395 1
Mg16 Mg 0.680 0.395 0.000 1
Mg17 Mg 0.715 0.320 0.320 1
```

Peak list (10 most intense, 2θ from 10° to 90°, in order of rising 2θ)
11.7°, d 7.535, rel. 6; 20.4°, d 4.350, rel. 25; 35.8°, d 2.512, rel. 100; 39.7°, d 2.272, rel. 5; 41.5°, d 2.175, rel. 8; 43.3°, d 2.090, rel. 4; 51.5°, d 1.776, rel. 11; 64.2°, d 1.450, rel. 25; 72.0°, d 1.312, rel. 6; 75.7°, d 1.256, rel. 4

Simulated PXRD pattern
Compound: Li5Mg3
Radiation: Cu Kα
Structure: DFT lattice parameters and positions (PBE)
No peak broadening, texture or thermal motion is included.

Atomic structure:
```
data_Li5Mg3
_chemical_formula_sum 'Li5 Mg3'
_cell_length_a 5.943
_cell_length_b 5.943
_cell_length_c 5.943
_cell_angle_alpha 109.47
_cell_angle_beta 109.47
_cell_angle_gamma 109.47
_symmetry_space_group_name_H-M 'P 1'
_symmetry_Int_Tables_number 1
_symmetry_space_group_name_Hall 'P 1'
loop_
_atom_site_label
_atom_site_type_symbol
_atom_site_fract_x
_atom_site_fract_y
_atom_site_fract_z
_atom_site_occupancy
Li1 Li 0.000 0.000 0.000 1
Li2 Li 0.000 0.000 0.500 1
Li3 Li 0.000 0.500 0.000 1
Li4 Li 0.500 0.000 0.000 1
Li5 Li 0.500 0.500 0.500 1
Mg1 Mg 0.000 0.500 0.500 1
Mg2 Mg 0.500 0.000 0.500 1
Mg3 Mg 0.500 0.500 0.000 1
```

Peak list (10 most intense, 2θ from 10° to 90°, in order of rising 2θ)
18.3°, d 4.852, rel. 25; 26.0°, d 3.431, rel. 48; 31.9°, d 2.801, rel. 12; 37.1°, d 2.426, rel. 100; 45.8°, d 1.981, rel. 13; 53.4°, d 1.715, rel. 17; 60.3°, d 1.534, rel. 16; 66.8°, d 1.401, rel. 33; 78.9°, d 1.213, rel. 10; 84.8°, d 1.144, rel. 7

Simulated PXRD pattern
Compound: Li3Mg
Radiation: Cu Kα
Structure: DFT lattice parameters and positions (PBE)
No peak broadening, texture or thermal motion is included.

Atomic structure:
```
data_Li3Mg
_chemical_formula_sum 'Li3 Mg1'
_cell_length_a 3.079
_cell_length_b 4.256
_cell_length_c 6.202
_cell_angle_alpha 90.00
_cell_angle_beta 90.00
_cell_angle_gamma 90.00
_symmetry_space_group_name_H-M 'P 1'
_symmetry_Int_Tables_number 1
_symmetry_space_group_name_Hall 'P 1'
loop_
_atom_site_label
_atom_site_type_symbol
_atom_site_fract_x
_atom_site_fract_y
_atom_site_fract_z
_atom_site_occupancy
Li1 Li 0.000 0.000 0.000 1
Li2 Li 0.500 0.500 0.249 1
Li3 Li 0.500 0.500 0.751 1
Mg1 Mg 0.000 0.000 0.500 1
```

Peak list (10 most intense, 2θ from 10° to 90°, in order of rising 2θ)
14.3°, d 6.202, rel. 100; 20.9°, d 4.256, rel. 41; 25.4°, d 3.509, rel. 51; 32.5°, d 2.758, rel. 27; 35.8°, d 2.506, rel. 79; 36.0°, d 2.495, rel. 78; 38.9°, d 2.315, rel. 31; 41.3°, d 2.185, rel. 53; 42.5°, d 2.128, rel. 24; 60.8°, d 1.524, rel. 33

Simulated PXRD pattern
Compound: Li6Mg
Radiation: Cu Kα
Structure: DFT lattice parameters and positions (PBE)
No peak broadening, texture or thermal motion is included.

Atomic structure:
```
data_Li6Mg
_chemical_formula_sum 'Li6 Mg1'
_cell_length_a 4.268
_cell_length_b 4.268
_cell_length_c 8.192
_cell_angle_alpha 90.00
_cell_angle_beta 90.00
_cell_angle_gamma 90.00
_symmetry_space_group_name_H-M 'P 1'
_symmetry_Int_Tables_number 1
_symmetry_space_group_name_Hall 'P 1'
loop_
_atom_site_label
_atom_site_type_symbol
_atom_site_fract_x
_atom_site_fract_y
_atom_site_fract_z
_atom_site_occupancy
Li1 Li 0.000 0.000 0.000 1
Li2 Li 0.000 0.500 0.231 1
Li3 Li 0.000 0.500 0.769 1
Li4 Li 0.500 0.000 0.231 1
Li5 Li 0.500 0.000 0.769 1
Li6 Li 0.500 0.500 0.500 1
Mg1 Mg 0.000 0.000 0.500 1
```

Peak list (10 most intense, 2θ from 10° to 90°, in order of rising 2θ)
10.8°, d 8.192, rel. 94; 20.8°, d 4.268, rel. 49; 23.5°, d 3.785, rel. 26; 30.2°, d 2.955, rel. 37; 31.6°, d 2.832, rel. 39; 37.0°, d 2.430, rel. 100; 42.4°, d 2.134, rel. 35; 52.9°, d 1.730, rel. 15; 62.9°, d 1.478, rel. 19; 73.9°, d 1.282, rel. 24

Simulated PXRD pattern
Compound: LiMg
Radiation: Cu Kα
Structure: DFT lattice parameters and positions (PBE)
No peak broadening, texture or thermal motion is included.

Atomic structure:
```
data_LiMg
_chemical_formula_sum 'Li1 Mg1'
_cell_length_a 3.426
_cell_length_b 3.426
_cell_length_c 3.426
_cell_angle_alpha 90.00
_cell_angle_beta 90.00
_cell_angle_gamma 90.00
_symmetry_space_group_name_H-M 'P 1'
_symmetry_Int_Tables_number 1
_symmetry_space_group_name_Hall 'P 1'
loop_
_atom_site_label
_atom_site_type_symbol
_atom_site_fract_x
_atom_site_fract_y
_atom_site_fract_z
_atom_site_occupancy
Li1 Li 0.000 0.000 0.000 1
Mg1 Mg 0.500 0.500 0.500 1
```

Peak list (8 most intense, 2θ from 10° to 90°, in order of rising 2θ)
26.0°, d 3.426, rel. 59; 37.1°, d 2.423, rel. 100; 45.9°, d 1.978, rel. 16; 53.5°, d 1.713, rel. 17; 60.4°, d 1.532, rel. 20; 66.9°, d 1.399, rel. 33; 79.1°, d 1.211, rel. 10; 84.9°, d 1.142, rel. 9

Simulated PXRD pattern
Compound: Li4Mg5
Radiation: Cu Kα
Structure: DFT lattice parameters and positions (PBE)
No peak broadening, texture or thermal motion is included.

Atomic structure:
```
data_Li4Mg5
_chemical_formula_sum 'Li4 Mg5'
_cell_length_a 5.740
_cell_length_b 5.740
_cell_length_c 8.781
_cell_angle_alpha 120.72
_cell_angle_beta 120.72
_cell_angle_gamma 50.84
_symmetry_space_group_name_H-M 'P 1'
_symmetry_Int_Tables_number 1
_symmetry_space_group_name_Hall 'P 1'
loop_
_atom_site_label
_atom_site_type_symbol
_atom_site_fract_x
_atom_site_fract_y
_atom_site_fract_z
_atom_site_occupancy
Li1 Li 0.046 0.046 0.222 1
Li2 Li 0.160 0.160 0.665 1
Li3 Li 0.840 0.840 0.335 1
Li4 Li 0.954 0.954 0.778 1
Mg1 Mg 0.271 0.271 0.119 1
Mg2 Mg 0.377 0.377 0.549 1
Mg3 Mg 0.500 0.500 0.000 1
Mg4 Mg 0.623 0.623 0.451 1
Mg5 Mg 0.729 0.729 0.881 1
```

Peak list (10 most intense, 2θ from 10° to 90°, in order of rising 2θ)
20.8°, d 4.270, rel. 61; 24.6°, d 3.621, rel. 21; 30.5°, d 2.927, rel. 19; 32.1°, d 2.789, rel. 36; 36.5°, d 2.463, rel. 100; 36.8°, d 2.442, rel. 96; 37.2°, d 2.415, rel. 96; 52.5°, d 1.742, rel. 32; 66.5°, d 1.407, rel. 21; 88.8°, d 1.102, rel. 18